1.
Computed PXRD pattern
Compound: YPd5Au
Radiation: Cu Kα (λ = 1.5418 Å)
Structure: a cell relaxed with PBE
Intensities are scaled so that the largest is 1000.

Principal peaks in the range 2θ from 10° to 80°, by intensity:
Position (°2θ)	I_rel
41.60	1000
37.91	392
30.84	277
33.89	255
70.98	201
39.46	183
13.45	147
41.14	141
55.87	132
43.56	109

Cell and atoms:
```
data_YPd5Au
_chemical_formula_sum 'Y4 Pd20 Au4'
_symmetry_space_group_name_H-M 'I m m a'
_symmetry_Int_Tables_number 74
_symmetry_space_group_name_Hall '-I 2b 2'
_cell_length_a 5.777
_cell_length_b 9.494
_cell_length_c 9.135
_cell_angle_alpha 90.00
_cell_angle_beta 90.00
_cell_angle_gamma 90.00
loop_
_atom_site_label
_atom_site_type_symbol
_atom_site_fract_x
_atom_site_fract_y
_atom_site_fract_z
Y1 Y 0.000 0.250 0.090
Pd1 Pd 0.000 0.004 0.256
Pd2 Pd 0.000 0.250 0.448
Pd3 Pd 0.247 0.000 0.000
Au1 Au 0.250 0.250 0.750
```

2.
Computed PXRD pattern
Compound: PmEr2ReN4
Radiation: Cu Kα (λ = 1.5418 Å)
Structure: a cell relaxed with PBE
Intensities are scaled so that the largest is 1000.

Principal peaks in the range 2θ from 10° to 80°, by intensity:
Position (°2θ)	I_rel
31.24	1000
38.29	971
30.71	606
31.05	436
44.23	321
64.26	227
42.19	220
49.86	200
17.06	196
62.74	186

Cell and atoms:
```
data_PmEr2ReN4
_chemical_formula_sum 'Pm4 Er8 Re4 N16'
_symmetry_space_group_name_H-M 'C m c m'
_symmetry_Int_Tables_number 63
_symmetry_space_group_name_Hall '-C 2c 2'
_cell_length_a 3.441
_cell_length_b 11.645
_cell_length_c 11.522
_cell_angle_alpha 90.00
_cell_angle_beta 90.00
_cell_angle_gamma 90.00
loop_
_atom_site_label
_atom_site_type_symbol
_atom_site_fract_x
_atom_site_fract_y
_atom_site_fract_z
Pm1 Pm 0.000 0.121 0.250
Er1 Er 0.000 0.369 0.039
Re1 Re 0.000 0.141 0.750
N1 N 0.000 0.000 0.000
N2 N 0.000 0.263 0.627
N3 N 0.000 0.443 0.250
```

3.
Computed PXRD pattern
Compound: TiCdS2
Radiation: Cu Kα (λ = 1.5418 Å)
Structure: a cell relaxed with PBE
Intensities are scaled so that the largest is 1000.

Principal peaks in the range 2θ from 10° to 80°, by intensity:
Position (°2θ)	I_rel
31.50	1000
41.85	641
20.72	495
30.90	484
47.14	462
54.58	325
33.79	274
31.30	199
59.01	165
64.28	136

Cell and atoms:
```
data_TiCdS2
_chemical_formula_sum 'Ti3 Cd3 S6'
_symmetry_space_group_name_H-M 'R -3 m'
_symmetry_Int_Tables_number 166
_symmetry_space_group_name_Hall '-R 3 2"'
_cell_length_a 3.3627
_cell_length_b 3.3627
_cell_length_c 25.7193
_cell_angle_alpha 90.00
_cell_angle_beta 90.00
_cell_angle_gamma 120.00
loop_
_atom_site_label
_atom_site_type_symbol
_atom_site_fract_x
_atom_site_fract_y
_atom_site_fract_z
Ti1 Ti 0.0000 0.0000 0.0000
Cd1 Cd 0.0000 0.0000 0.5000
S1 S 0.0000 0.0000 0.3898
```

4.
Computed PXRD pattern
Compound: KTiAgBr6
Radiation: Cu Kα (λ = 1.5418 Å)
Structure: a cell relaxed with PBE
Intensities are scaled so that the largest is 1000.

Principal peaks in the range 2θ from 10° to 80°, by intensity:
Position (°2θ)	I_rel
27.91	1000
35.93	654
12.74	398
19.13	340
43.54	301
46.63	281
38.78	203
14.20	201
40.41	192
57.68	112

Cell and atoms:
```
data_KTiAgBr6
_chemical_formula_sum 'K2 Ti2 Ag2 Br12'
_symmetry_space_group_name_H-M 'P -3 1 c'
_symmetry_Int_Tables_number 163
_symmetry_space_group_name_Hall '-P 3 2c'
_cell_length_a 7.2003
_cell_length_b 7.2003
_cell_length_c 13.8932
_cell_angle_alpha 90.00
_cell_angle_beta 90.00
_cell_angle_gamma 120.00
loop_
_atom_site_label
_atom_site_type_symbol
_atom_site_fract_x
_atom_site_fract_y
_atom_site_fract_z
K1 K 0.0000 0.0000 0.0000
Ti1 Ti 0.3333 0.6667 0.2500
Ag1 Ag 0.3333 0.6667 0.7500
Br1 Br 0.0364 0.3924 0.1436
```